Structure and simulated powder diffraction line list of Tl4PtCl5 (a DFT-relaxed cell (GGA-PBE, Alexandria); copper Kα).

Top 6 peaks for 15 to 90 degrees two-theta, low angle first:
two_theta, intensity, index
24.60, 100, 1 2 1
26.81, 42, 0 0 2
29.29, 60, 3 1 0
40.12, 51, 3 1 2
49.19, 37, 4 3 1
50.44, 23, 2 4 2

Atomic structure:
Cell: 9.6434 9.6434 6.6495 Å, 90.00 90.00 90.00°
Space group I4 (No. 79)
Unique sites:
Tl  0.0836  0.7005  0.0000 (multiplicity 8)
Pt  0.0000  0.0000  0.4967 (multiplicity 2)
Cl  0.0000  0.0000  0.9954 (multiplicity 2)
Cl  0.0960  0.7615  0.4968 (multiplicity 8)

***

Structure and simulated powder diffraction line list of TlPt2Cl (a DFT-relaxed cell (GGA-PBE, Alexandria); copper Kα).

Top 6 peaks for 15 to 90 degrees two-theta, low angle first:
two_theta, intensity, index
23.50, 39, 0 0 2
29.44, 41, 1 0 1
34.36, 100, 0 1 2
38.54, 82, 1 1 -1
38.80, 70, 1 1 1
43.82, 42, 1 1 -2

Atomic structure:
Cell: 3.3340 3.6039 7.5707 Å, 90.00 90.86 90.00°
Space group Pm (No. 6)
Unique sites:
Tl  0.0000  0.0000  0.0000 (multiplicity 1)
Pt  0.0280  0.5000  0.6990 (multiplicity 1)
Pt  0.5236  0.0000  0.5701 (multiplicity 1)
Cl  0.5150  0.5000  0.3298 (multiplicity 1)

***

Structure and simulated powder diffraction line list of Tl2PtCl6 (a DFT-relaxed cell (GGA-PBE, Alexandria); copper Kα).

Top 6 peaks for 15 to 90 degrees two-theta, low angle first:
two_theta, intensity, index
18.23, 100, 1 1 0
24.69, 70, 1 0 3
25.89, 21, 2 0 0
36.08, 70, 2 1 3
36.94, 22, 2 2 0
44.94, 24, 3 0 3

Atomic structure:
Cell: 6.8818 6.8818 12.7017 Å, 90.00 90.00 90.00°
Space group P4_2/mnm (No. 136)
Unique sites:
Tl  0.0000  0.0000  0.1583 (multiplicity 4)
Pt  0.0000  0.0000  0.5000 (multiplicity 2)
Cl  0.1694  0.1694  0.3675 (multiplicity 8)
Cl  0.2421  0.7579  0.5000 (multiplicity 4)

***

Structure and simulated powder diffraction line list of ZrPt2Cl (a DFT-relaxed cell (GGA-PBE, Alexandria); copper Kα).

Top 6 peaks for 15 to 90 degrees two-theta, low angle first:
two_theta, intensity, index
33.72, 32, 1 0 2
36.19, 62, 0 1 2
36.86, 81, 1 1 0
38.73, 100, 1 1 -1
42.77, 32, 1 0 -3
45.01, 52, 0 1 3

Atomic structure:
Cell: 3.6938 3.2468 7.7030 Å, 90.00 90.34 90.00°
Space group Pm (No. 6)
Unique sites:
Zr  0.0000  0.0000  0.0000 (multiplicity 1)
Pt  0.4980  0.5000  0.8364 (multiplicity 1)
Pt  0.9958  0.0000  0.6580 (multiplicity 1)
Cl  0.0037  0.5000  0.2618 (multiplicity 1)

***

Structure and simulated powder diffraction line list of ZrPtCl (a DFT-relaxed cell (GGA-PBE, Alexandria); copper Kα).

Top 6 peaks for 15 to 90 degrees two-theta, low angle first:
two_theta, intensity, index
32.43, 51, 1 0 5
36.70, 47, 1 1 0
37.56, 76, 1 1 2
37.86, 100, 1 0 7
44.22, 57, 1 0 9
66.85, 38, 2 1 7

Atomic structure:
Cell: 3.4635 3.4635 22.8619 Å, 90.00 90.00 90.00°
Space group I-4m2 (No. 119)
Unique sites:
Zr  0.0000  0.0000  0.1569 (multiplicity 4)
Pt  0.0000  0.0000  0.2862 (multiplicity 4)
Cl  0.0000  0.5000  0.0723 (multiplicity 4)

***

Structure and simulated powder diffraction line list of PuCl5 (a DFT-relaxed cell (GGA-PBE, Alexandria); copper Kα).

Top 6 peaks for 15 to 90 degrees two-theta, low angle first:
two_theta, intensity, index
19.35, 73, 0 0 2
19.52, 69, 2 0 -2
21.92, 100, 1 1 -2
24.89, 64, 3 1 0
38.47, 64, 5 1 0
44.53, 49, 1 3 2

Atomic structure:
Cell: 13.2516 7.1755 9.8293 Å, 90.00 111.05 90.00°
Space group C2/c (No. 15)
Unique sites:
Pu  0.0000  0.0000  0.0000 (multiplicity 4)
Cl  0.0000  0.1520  0.2500 (multiplicity 4)
Cl  0.0872  0.2867  0.9583 (multiplicity 8)
Cl  0.1798  0.1373  0.6285 (multiplicity 8)

***

Question: What is the formula in the second record?
Answer: TlPt2Cl